For PuAl2NiO8, a crystal structure in Alexandria, relaxed with PBE+U gives the simulated powder XRD pattern in this record (λ = 1.5418 Å (Cu Kα)).
No peak broadening, texture or thermal motion is included.

Main lines, most intense first (2θ = 15–90°):
(hkl), d_spacing, Rel. int.
1 1 0, 4.641, 100
1 1 2, 2.505, 74
1 1 1, 3.660, 60
2 0 0, 3.248, 55
0 2 0, 3.316, 55
3 1 2, 1.693, 40
0 2 2, 2.215, 36
1 3 2, 1.712, 34
3 1 0, 2.058, 23
3 3 2, 1.373, 23

Atomic structure:
abc: 6.4961 6.6328 5.9508
angles: 90.00 90.00 90.00
Space group Cmmm (No. 65)
Symmetry-distinct sites (fractional):
1 Pu 0.0000 0.0000 0.0000 [2 per cell]
2 Al 0.0000 0.5000 0.2613 [4 per cell]
3 Ni 0.0000 0.0000 0.5000 [2 per cell]
4 O 0.0000 0.2048 0.2450 [8 per cell]
5 O 0.1831 0.5000 0.0000 [4 per cell]
6 O 0.1881 0.5000 0.5000 [4 per cell]